Structure and simulated powder X-ray diffraction pattern of YMg6VO8 (a GGA+U-relaxed structure; λ = 1.5418 Å (Cu Kα)).

Most intense lines, 2θ from 10° to 90°, in order of falling intensity:
d_spacing  2θ/deg  Rel. int.
2.233  40.39  100.0
1.572  58.72  56.1
2.214  40.75  47.2
2.571  34.89  43.6
1.579  58.44  29.4
4.467  19.88  29.2
1.286  73.68  25.9
3.145  28.38  23.9

Structural model:
a b c (Å): 4.467 4.467 8.857
angles (deg): 90.00 90.00 90.00
Space group P4/mmm (No. 123)
Unique sites:
Y1 0.000 0.000 0.000
Mg1 0.000 0.500 0.263
Mg2 0.500 0.500 0.000
Mg3 0.500 0.500 0.500
V1 0.000 0.000 0.500
O1 0.000 0.000 0.256
O2 0.000 0.500 0.000
O3 0.000 0.500 0.500
O4 0.500 0.500 0.252

***

Structure and simulated powder X-ray diffraction pattern of Na3MnAsCO7 (a GGA+U-relaxed structure; λ = 1.5418 Å (Cu Kα)).

Most intense lines, 2θ from 10° to 90°, in order of falling intensity:
d_spacing  2θ/deg  Rel. int.
2.795  32.02  100.0
3.518  25.32  89.4
2.639  33.97  61.9
1.929  47.11  40.1
1.758  52.01  37.9
3.482  25.58  35.2
3.834  23.20  34.7
4.591  19.33  33.6

Structural model:
a b c (Å): 5.279 7.035 9.228
angles (deg): 90.00 90.26 90.00
Space group P2_1/m (No. 11)
Unique sites:
Na1 0.241 0.250 0.080
Na2 0.246 0.503 0.746
Mn1 0.222 0.750 0.353
As1 0.299 0.250 0.413
C1 0.266 0.750 0.058
O1 0.043 0.750 0.118
O2 0.173 0.250 0.584
O3 0.213 0.057 0.309
O4 0.289 0.750 0.918
O5 0.375 0.750 0.568
O6 0.467 0.750 0.141

***

Structure and simulated powder X-ray diffraction pattern of Li9Mn2Co5O16 (a GGA+U-relaxed structure; λ = 1.5418 Å (Cu Kα)).

Most intense lines, 2θ from 10° to 90°, in order of falling intensity:
d_spacing  2θ/deg  Rel. int.
4.841  18.33  100.0
2.185  41.33  33.7
2.079  43.54  28.2
2.015  44.99  24.6
2.609  34.38  19.2
2.507  35.82  13.5
2.441  36.82  10.8
1.437  64.88  8.8

Structural model:
a b c (Å): 3.028 9.996 10.762
angles (deg): 115.02 95.36 92.02
Space group P-1 (No. 2)
Unique sites:
Li1 0.000 0.000 0.000
Li2 0.119 0.933 0.245
Li3 0.125 0.436 0.246
Li4 0.379 0.310 0.750
Li5 0.386 0.817 0.759
Mn1 0.263 0.373 0.499
Co1 0.000 0.500 0.000
Co2 0.242 0.878 0.503
Co3 0.499 0.243 0.001
O1 0.083 0.221 0.114
O2 0.097 0.708 0.114
O3 0.142 0.667 0.384
O4 0.216 0.160 0.383
O5 0.301 0.087 0.614
O6 0.339 0.586 0.617
O7 0.441 0.056 0.886
O8 0.454 0.547 0.891

***

Structure and simulated powder X-ray diffraction pattern of MgV4O8 (a GGA+U-relaxed structure; λ = 1.5418 Å (Cu Kα)).

Most intense lines, 2θ from 10° to 90°, in order of falling intensity:
d_spacing  2θ/deg  Rel. int.
4.521  19.64  100.0
4.486  19.79  73.2
2.531  35.46  67.3
2.555  35.12  55.5
2.643  33.92  42.0
2.664  33.64  35.7
2.284  39.45  31.0
1.496  62.02  30.2

Structural model:
a b c (Å): 5.149 3.060 9.289
angles (deg): 90.00 90.53 90.00
Space group Pm (No. 6)
Unique sites:
Mg1 0.000 0.000 0.000
V1 0.016 0.000 0.307
V2 0.096 0.500 0.577
V3 0.515 0.500 0.081
V4 0.592 0.000 0.782
O1 0.167 0.500 0.181
O2 0.250 0.000 0.456
O3 0.368 0.000 0.959
O4 0.394 0.500 0.694
O5 0.728 0.000 0.170
O6 0.785 0.500 0.914
O7 0.864 0.500 0.412
O8 0.917 0.000 0.667

***

Structure and simulated powder X-ray diffraction pattern of KNaFeSi4O10 (a GGA+U-relaxed structure; λ = 1.5418 Å (Cu Kα)).

Most intense lines, 2θ from 10° to 90°, in order of falling intensity:
d_spacing  2θ/deg  Rel. int.
7.025  12.60  100.0
3.288  27.12  90.1
3.067  29.12  69.1
2.510  35.77  66.8
3.039  29.39  64.8
3.515  25.34  62.9
4.159  21.36  53.0
2.914  30.69  49.9

Structural model:
a b c (Å): 7.057 8.307 10.069
angles (deg): 105.22 101.13 113.84
Space group P-1 (No. 2)
Unique sites:
K1 0.172 0.313 0.016
Na1 0.248 0.781 0.410
Fe1 0.249 0.199 0.592
Si1 0.105 0.874 0.730
Si2 0.258 0.592 0.785
Si3 0.327 0.127 0.270
Si4 0.425 0.805 0.131
O1 0.086 0.913 0.581
O2 0.093 0.126 0.206
O3 0.095 0.668 0.714
O4 0.149 0.366 0.712
O5 0.282 0.918 0.160
O6 0.292 0.649 0.961
O7 0.332 0.044 0.866
O8 0.396 0.149 0.438
O9 0.439 0.700 0.242
O10 0.499 0.705 0.769